Starting from a structure optimized by DFT (GGA-PBE), the X-ray powder pattern of PmHo4Hg2 was calculated for Cu Kα.
No peak broadening, texture or thermal motion is included.

Cell and atoms:
Unit cell a=10.6700 b=10.6700 c=10.6700 alpha=27.24 beta=27.24 gamma=27.24
Fractional coordinates of all 7 atoms:
Pm1 0.0000 0.0000 0.0000
Ho1 0.2024 0.2024 0.2024
Ho2 0.3947 0.3947 0.3947
Ho3 0.6053 0.6053 0.6053
Ho4 0.7976 0.7976 0.7976
Hg1 0.1018 0.1018 0.1018
Hg2 0.8982 0.8982 0.8982

Principal peaks in the range 15° ≤ 2θ ≤ 90°, most intense first:
d/Å  I_rel
2.513  100
1.451  35
1.777  18
1.124  16
3.555  14
4.309  13
3.789  13
1.257  11